Diffraction record for CuBi2O4. The PXRD pattern is theoretical, not measured: it uses a structure optimized by DFT (PBE) and Cu Kα, 1.54184 Å.

Peak list (6 most intense, 2θ = 10–90°, low angle first)
2θ = 23.50°, I 29.5; 2θ = 31.07°, I 100.0; 2θ = 31.86°, I 38.4; 2θ = 43.28°, I 30.0; 2θ = 45.68°, I 24.8; 2θ = 56.30°, I 48.6

Cell and atoms:
abc: 6.8663 6.8663 6.8663
angles: 146.37 146.37 48.29
Fractional coordinates of all 7 atoms:
1 Cu 0.0000 0.0000 0.0000
2 Bi 0.3520 0.3520 0.0000
3 Bi 0.6480 0.6480 0.0000
4 O 0.0000 0.5000 0.5000
5 O 0.2500 0.7500 0.5000
6 O 0.5000 0.0000 0.5000
7 O 0.7500 0.2500 0.5000